The following is a simulated powder X-ray diffraction pattern of AlReMo. It was derived from a structure optimized by DFT (GGA-PBE), using copper Kα.

Main lines, low angle first (15° ≤ 2θ ≤ 90°):
hkl, Position (°2θ), I/Imax
1 1 1, 25.7, 100.0
2 0 0, 29.8, 4.3
2 2 0, 42.6, 96.3
3 1 1, 50.5, 48.5
2 2 2, 52.9, 1.4
4 0 0, 61.9, 15.9
3 3 1, 68.2, 19.8
4 2 0, 70.2, 1.9
4 2 2, 78.1, 32.7
5 1 1, 83.8, 15.4

Cell lengths 5.997, 5.997, 5.997 Å; angles 90.00, 90.00, 90.00 degrees
Space group F-43m (No. 216)
Unique sites:
Al: 0.000 0.000 0.000 [4 per cell]
Re: 0.250 0.250 0.250 [4 per cell]
Mo: 0.000 0.000 0.500 [4 per cell]

The following is a simulated powder X-ray diffraction pattern of TaAl2Mo2. It was derived from a structure optimized by DFT (GGA-PBE), using copper Kα.

Main lines, low angle first (15° ≤ 2θ ≤ 90°):
hkl, Position (°2θ), I/Imax
1 0 1, 25.1, 31.7
0 0 4, 29.4, 34.0
1 0 3, 32.7, 33.9
1 1 2, 37.3, 100.0
1 0 5, 44.5, 21.2
2 0 0, 49.0, 26.8
1 1 6, 57.4, 19.4
2 0 4, 58.2, 19.4
3 1 2, 83.9, 19.4
1 1 10, 88.6, 13.3

Cell lengths 3.715, 3.715, 12.161 Å; angles 90.00, 90.00, 90.00 degrees
Space group I4/mmm (No. 139)
Unique sites:
Ta: 0.000 0.000 0.000 [2 per cell]
Al: 0.000 0.000 0.403 [4 per cell]
Mo: 0.000 0.500 0.250 [4 per cell]